Diffraction record for TaTiBe3. The PXRD pattern is calculated, not measured: it uses a DFT-relaxed cell (GGA-PBE, Alexandria) and Cu Kα (λ = 1.5418 Å).

Structure:
Lattice parameters (Å, degrees): 2.9926 22.2122 3.6420 90.00 90.00 90.00
Space group Cmcm (No. 63)
Asymmetric unit:
Ta  0.0000  0.0714  0.2500 x4
Ti  0.0000  0.2104  0.7500 x4
Be  0.0000  0.3316  0.7500 x4
Be  0.0000  0.3815  0.2500 x4
Be  0.0000  0.4764  0.2500 x4

Most intense lines, 10° ≤ 2θ ≤ 80°, in order of rising 2θ:
| (hkl) | d_spacing | I/Imax |
| --- | --- | --- |
| 0 6 0 | 3.702 | 47.1 |
| 0 2 1 | 3.461 | 42.6 |
| 0 4 1 | 3.045 | 100.0 |
| 1 1 0 | 2.966 | 56.1 |
| 0 8 0 | 2.777 | 29.3 |
| 1 3 1 | 2.207 | 92.9 |
| 1 7 0 | 2.177 | 51.4 |
| 1 5 1 | 2.051 | 27.2 |
| 0 10 1 | 1.896 | 29.7 |
| 1 1 2 | 1.552 | 16.8 |
| 1 11 1 | 1.521 | 34.0 |
| 1 7 2 | 1.397 | 24.4 |